# 1
Diffraction record for Ac2Tb2Y7. The XRD peak list is calculated, not measured: it uses DFT lattice parameters and positions (GGA-PBE) and Cu Kα X-rays.
Lines closer than 0.1° are merged.

Principal peaks in the range 10° ≤ 2θ ≤ 80°, sorted by position:
- 2θ = 21.84°, I = 15, (0 2 1)
- 2θ = 24.25°, I = 27, (1 3 0)
- 2θ = 30.15°, I = 30, (1 1 -2)
- 2θ = 30.48°, I = 43, (0 4 0)
- 2θ = 30.78°, I = 43, (4 0 -1)
- 2θ = 31.29°, I = 100, (2 2 1)
- 2θ = 32.95°, I = 90, (2 2 -2)
- 2θ = 43.87°, I = 28, (4 4 -1)
- 2θ = 48.92°, I = 27, (1 5 -2)
- 2θ = 53.98°, I = 15, (6 2 0)

```
data_Ac2Tb2Y7
_chemical_formula_sum 'Ac4 Tb4 Y14'
_cell_length_a 11.6500
_cell_length_b 11.7311
_cell_length_c 6.1983
_cell_angle_alpha 90.00
_cell_angle_beta 113.92
_cell_angle_gamma 90.00
_symmetry_space_group_name_H-M 'C 1 2/m 1'
_symmetry_Int_Tables_number 12
loop_
_symmetry_equiv_pos_as_xyz
'x,y,z'
'-x,-y,-z'
'-x,y,-z'
'x,-y,z'
'x+1/2,y+1/2,z'
'-x+1/2,-y+1/2,-z'
'-x+1/2,y+1/2,-z'
'x+1/2,-y+1/2,z'
loop_
_atom_site_label
_atom_site_type_symbol
_atom_site_fract_x
_atom_site_fract_y
_atom_site_fract_z
Ac1 Ac 0.0000 0.2131 0.0000
Tb1 Tb 0.0954 0.5000 0.3142
Y1 Y 0.0000 0.0000 0.5000
Y2 Y 0.1723 0.2331 0.6636
Y3 Y 0.2462 0.0000 0.0843
```

# 2
Diffraction record for K4NaCd. The XRD peak list is calculated, not measured: it uses DFT lattice parameters and positions (GGA-PBE) and Cu Kα X-rays.
Lines closer than 0.1° are merged.

Principal peaks in the range 10° ≤ 2θ ≤ 80°, sorted by position:
- 2θ = 11.06°, I = 67, (0 0 2)
- 2θ = 13.83°, I = 62, (1 1 0)
- 2θ = 17.74°, I = 49, (1 1 2)
- 2θ = 22.62°, I = 75, (2 1 1)
- 2θ = 26.27°, I = 85, (1 1 4)
- 2θ = 27.66°, I = 53, (2 1 3)
- 2θ = 27.86°, I = 42, (2 2 0)
- 2θ = 29.80°, I = 100, (2 0 4)
- 2θ = 31.23°, I = 83, (3 1 0)
- 2θ = 48.33°, I = 41, (3 3 4)

```
data_K4NaCd
_chemical_formula_sum 'K16 Na4 Cd4'
_cell_length_a 9.0561
_cell_length_b 9.0561
_cell_length_c 16.0021
_cell_angle_alpha 90.00
_cell_angle_beta 90.00
_cell_angle_gamma 90.00
_symmetry_space_group_name_H-M 'I 4/m c m'
_symmetry_Int_Tables_number 140
_symmetry_space_group_name_Hall '-I 4 2c'
loop_
_atom_site_label
_atom_site_type_symbol
_atom_site_fract_x
_atom_site_fract_y
_atom_site_fract_z
K1 K 0.1705 0.3295 0.1374
Na1 Na 0.0000 0.0000 0.0000
Cd1 Cd 0.0000 0.0000 0.2500
```

# 3
Diffraction record for SmNi3Ge2. The XRD peak list is calculated, not measured: it uses DFT lattice parameters and positions (GGA-PBE) and Cu Kα X-rays.
Lines closer than 0.1° are merged.

Principal peaks in the range 10° ≤ 2θ ≤ 80°, sorted by position:
- 2θ = 31.99°, I = 30, (3 1 -2)
- 2θ = 32.39°, I = 13, (3 1 1)
- 2θ = 35.86°, I = 20, (6 0 0)
- 2θ = 36.65°, I = 100, (1 1 -3)
- 2θ = 38.24°, I = 29, (3 1 2)
- 2θ = 41.43°, I = 16, (5 1 1)
- 2θ = 45.01°, I = 23, (2 0 4)
- 2θ = 45.17°, I = 15, (6 0 -4)
- 2θ = 46.58°, I = 37, (0 2 0)
- 2θ = 49.95°, I = 11, (7 1 -3)

```
data_SmNi3Ge2
_chemical_formula_sum 'Sm6 Ni18 Ge12'
_cell_length_a 15.7439
_cell_length_b 3.8995
_cell_length_c 9.5221
_cell_angle_alpha 90.00
_cell_angle_beta 107.38
_cell_angle_gamma 90.00
_symmetry_space_group_name_H-M 'C 1 2/m 1'
_symmetry_Int_Tables_number 12
loop_
_symmetry_equiv_pos_as_xyz
'x,y,z'
'-x,-y,-z'
'-x,y,-z'
'x,-y,z'
'x+1/2,y+1/2,z'
'-x+1/2,-y+1/2,-z'
'-x+1/2,y+1/2,-z'
'x+1/2,-y+1/2,z'
loop_
_atom_site_label
_atom_site_type_symbol
_atom_site_fract_x
_atom_site_fract_y
_atom_site_fract_z
Sm1 Sm 0.0000 0.0000 0.0000
Sm2 Sm 0.1562 0.0000 0.7010
Ni1 Ni 0.0000 0.5000 0.5000
Ni2 Ni 0.0476 0.0000 0.3440
Ni3 Ni 0.1259 0.5000 0.2033
Ni4 Ni 0.1769 0.5000 0.9701
Ni5 Ni 0.2139 0.0000 0.3906
Ge1 Ge 0.0315 0.5000 0.7750
Ge2 Ge 0.1406 0.5000 0.4552
Ge3 Ge 0.1996 0.0000 0.1296
```